Diffraction record for LaMnSi2. The powder XRD pattern is theoretical, not measured: it uses the GGA-PBE geometry in the Materials Project and Cu Kα (weighted mean of Kα1 and Kα2).
No peak broadening, texture or thermal motion is included.

Principal peaks in the range 2θ from 15° to 90°, most intense first:
34.5°, rel. 100.0; 33.2°, rel. 42.2; 24.3°, rel. 29.0; 43.5°, rel. 21.2; 45.0°, rel. 19.1; 21.9°, rel. 18.8; 37.8°, rel. 18.3; 57.1°, rel. 17.5; 30.2°, rel. 15.2; 46.8°, rel. 14.0

Structure:
a b c (Å): 4.1633 17.7363 4.0269
angles (deg): 90.00 90.00 90.00
Element x y z (fractional)
La1 0.0000 0.1025 0.2500
La2 0.0000 0.8975 0.7500
La3 0.5000 0.3975 0.7500
La4 0.5000 0.6025 0.2500
Mn1 0.0000 0.2492 0.7500
Mn2 0.0000 0.7508 0.2500
Mn3 0.5000 0.2508 0.2500
Mn4 0.5000 0.7492 0.7500
Si1 0.0000 0.3201 0.2500
Si2 0.0000 0.4638 0.2500
Si3 0.0000 0.5362 0.7500
Si4 0.0000 0.6799 0.7500
Si5 0.5000 0.0362 0.7500
Si6 0.5000 0.1799 0.7500
Si7 0.5000 0.8201 0.2500
Si8 0.5000 0.9638 0.2500

Diffraction record for Na2B29. The powder XRD pattern is theoretical, not measured: it uses the GGA-PBE geometry in the Materials Project and Cu Kα (weighted mean of Kα1 and Kα2).
No peak broadening, texture or thermal motion is included.

Principal peaks in the range 2θ from 15° to 90°, most intense first:
35.4°, rel. 100.0; 40.0°, rel. 83.8; 25.4°, rel. 49.9; 37.2°, rel. 45.8; 42.1°, rel. 42.6; 70.7°, rel. 39.5; 17.1°, rel. 30.8; 18.6°, rel. 27.7; 70.3°, rel. 27.4; 41.8°, rel. 23.7

Structure:
a b c (Å): 7.2495 7.2495 7.2495
angles (deg): 132.73 88.91 109.90
Element x y z (fractional)
Na1 0.0000 0.0000 0.0000
Na2 0.8035 0.3035 0.5000
B1 0.0204 0.6636 0.0364
B2 0.0204 0.9840 0.3568
B3 0.0297 0.4523 0.0814
B4 0.0297 0.9483 0.5774
B5 0.0393 0.6233 0.4160
B6 0.1707 0.8241 0.3466
B7 0.1736 0.2738 0.8999
B8 0.1921 0.3339 0.5348
B9 0.1921 0.6573 0.8581
B10 0.2073 0.6233 0.5840
B11 0.3467 0.5011 0.8456
B12 0.3709 0.4523 0.4226
B13 0.3709 0.9483 0.9186
B14 0.3739 0.2738 0.1001
B15 0.3973 0.0256 0.3717
B16 0.4194 0.4194 0.0000
B17 0.4504 0.3734 0.5838
B18 0.4504 0.8667 0.0770
B19 0.4776 0.8241 0.6534
B20 0.6155 0.6994 0.9160
B21 0.6272 0.6636 0.6432
B22 0.6272 0.9840 0.9636
B23 0.6540 0.0256 0.6283
B24 0.6554 0.5011 0.1544
B25 0.7834 0.6994 0.0840
B26 0.7896 0.3734 0.9230
B27 0.7896 0.8667 0.4162
B28 0.7991 0.3339 0.1419
B29 0.7991 0.6573 0.4652